Entry 1:
Computed XRD peak list
Compound: Th2Ge3
Radiation: Cu Kα (weighted mean of Kα1 and Kα2)
Structure: a crystal structure in Alexandria, relaxed with GGA-PBE
Peak positions follow from Bragg's law for the DFT cell and can differ from measured ones.

Structure:
Lattice parameters (Å, degrees): 5.8518 5.8518 5.8518 138.35 108.78 86.03
Element x y z (fractional)
Th (0.2312, 0.2312, 0.0000)
Th (0.7688, 0.7688, 0.0000)
Ge (0.1944, 0.5000, 0.6944)
Ge (0.5000, 0.0000, 0.5000)
Ge (0.8056, 0.5000, 0.3056)

Most intense lines, 5 to 70 degrees two-theta, in order of rising 2θ:
d [Å], 2θ/deg, intensity
4.279, 20.76, 10
3.551, 25.08, 31
3.407, 26.16, 23
2.733, 32.77, 100
2.665, 33.63, 33
2.519, 35.64, 15
2.139, 42.24, 16
2.080, 43.50, 17
1.994, 45.50, 16
1.807, 50.50, 14
1.776, 51.45, 13
1.640, 56.08, 16

Entry 2:
Computed XRD peak list
Compound: Th5Ge4
Radiation: Cu Kα (weighted mean of Kα1 and Kα2)
Structure: a crystal structure in Alexandria, relaxed with GGA-PBE
Peak positions follow from Bragg's law for the DFT cell and can differ from measured ones.

Structure:
Lattice parameters (Å, degrees): 6.0311 6.0311 10.2487 110.16 110.16 43.20
Element x y z (fractional)
Th (0.0000, 0.0000, 0.0000)
Th (0.1002, 0.1002, 0.3917)
Th (0.2528, 0.2528, 0.8360)
Th (0.7472, 0.7472, 0.1640)
Th (0.8998, 0.8998, 0.6083)
Ge (0.3745, 0.3745, 0.3888)
Ge (0.4537, 0.4537, 0.1708)
Ge (0.5463, 0.5463, 0.8292)
Ge (0.6255, 0.6255, 0.6112)

Most intense lines, 5 to 70 degrees two-theta, in order of rising 2θ:
d [Å], 2θ/deg, intensity
4.085, 21.76, 21
3.309, 26.95, 44
3.003, 29.76, 24
2.898, 30.85, 100
2.860, 31.28, 88
2.789, 32.10, 31
2.703, 33.14, 44
2.457, 36.58, 32
2.446, 36.74, 20
2.220, 40.64, 41
1.743, 52.51, 21
1.737, 52.71, 19

Entry 3:
Computed XRD peak list
Compound: Th3Ge2
Radiation: Cu Kα (weighted mean of Kα1 and Kα2)
Structure: a crystal structure in Alexandria, relaxed with GGA-PBE
Peak positions follow from Bragg's law for the DFT cell and can differ from measured ones.

Structure:
Lattice parameters (Å, degrees): 8.0026 8.0026 4.1519 90.00 90.00 90.00
Element x y z (fractional)
Th (0.0000, 0.0000, 0.0000)
Th (0.1776, 0.3224, 0.5000)
Th (0.3224, 0.8224, 0.5000)
Th (0.5000, 0.5000, 0.0000)
Th (0.6776, 0.1776, 0.5000)
Th (0.8224, 0.6776, 0.5000)
Ge (0.1206, 0.6206, 0.0000)
Ge (0.3794, 0.1206, 0.0000)
Ge (0.6206, 0.8794, 0.0000)
Ge (0.8794, 0.3794, 0.0000)

Most intense lines, 5 to 70 degrees two-theta, in order of rising 2θ:
d [Å], 2θ/deg, intensity
3.579, 24.88, 26
3.347, 26.63, 26
2.881, 31.04, 85
2.829, 31.62, 24
2.711, 33.05, 100
2.531, 35.47, 55
2.076, 43.60, 22
1.941, 46.81, 18
1.758, 52.01, 23
1.717, 53.35, 26
1.605, 57.41, 28
1.468, 63.35, 19

Entry 4:
Computed XRD peak list
Compound: TmThGe2
Radiation: Cu Kα (weighted mean of Kα1 and Kα2)
Structure: a crystal structure in Alexandria, relaxed with GGA-PBE
Peak positions follow from Bragg's law for the DFT cell and can differ from measured ones.

Structure:
Lattice parameters (Å, degrees): 4.1119 5.8822 7.9686 90.00 90.00 90.00
Element x y z (fractional)
Tm (0.0000, 0.1221, 0.0000)
Tm (0.0000, 0.8779, 0.5000)
Th (0.5000, 0.3732, 0.3622)
Th (0.5000, 0.6268, 0.8622)
Ge (0.0000, 0.3982, 0.6387)
Ge (0.0000, 0.6018, 0.1387)
Ge (0.5000, 0.1053, 0.7247)
Ge (0.5000, 0.8947, 0.2247)

Most intense lines, 5 to 70 degrees two-theta, in order of rising 2θ:
d [Å], 2θ/deg, intensity
3.370, 26.45, 26
3.104, 28.76, 89
2.861, 31.26, 100
2.759, 32.45, 99
2.573, 34.87, 85
2.421, 37.14, 48
2.291, 39.32, 72
2.056, 44.05, 41
1.887, 48.23, 32
1.778, 51.40, 28
1.649, 55.76, 44
1.567, 58.94, 26